Entry 1:
For Nd12Sm6Er, a crystal structure in Alexandria, relaxed with PBE gives the simulated X-ray powder pattern in this record (Cu Kα X-rays).
Kinematic intensities with the Lorentz-polarization factor, no thermal factor.

Atomic structure:
a b c (Å): 12.2663 12.2663 15.3685
angles (deg): 90.00 90.00 120.00
Space group R-3 (No. 148, hexagonal axes)
Inequivalent atoms, fractional coordinates:
1 Nd 0.0031 0.8301 0.1902 [18 per cell]
2 Nd 0.0470 0.8507 0.4164 [18 per cell]
3 Sm 0.0146 0.4246 0.6859 [18 per cell]
4 Er 0.0000 0.0000 0.0000 [3 per cell]

Peak list (10 most intense, 2θ from 15° to 90°, by angle)
| Position (°2θ) | I/Imax |
| --- | --- |
| 30.3 | 41.8 |
| 30.7 | 28.3 |
| 30.9 | 100.0 |
| 32.2 | 66.6 |
| 32.5 | 30.7 |
| 34.1 | 18.0 |
| 44.0 | 13.5 |
| 52.8 | 11.9 |
| 53.9 | 19.6 |
| 56.8 | 12.1 |

---

Entry 2:
For Nd4Sm5Er, a crystal structure in Alexandria, relaxed with PBE gives the simulated X-ray powder pattern in this record (Cu Kα X-rays).
Kinematic intensities with the Lorentz-polarization factor, no thermal factor.

Atomic structure:
a b c (Å): 3.639 9.612 10.290
angles (deg): 74.31 89.94 79.13
Space group P-1 (No. 2)
Inequivalent atoms, fractional coordinates:
1 Nd 0.099 0.302 0.298 [2 per cell]
2 Nd 0.300 0.899 0.900 [2 per cell]
3 Sm 0.100 0.302 0.801 [2 per cell]
4 Sm 0.300 0.899 0.400 [2 per cell]
5 Sm 0.500 0.500 0.500 [1 per cell]
6 Er 0.500 0.500 0.000 [1 per cell]

Peak list (10 most intense, 2θ from 15° to 90°, by angle)
| Position (°2θ) | I/Imax |
| --- | --- |
| 30.1 | 100.0 |
| 30.2 | 33.1 |
| 34.9 | 67.4 |
| 50.1 | 32.3 |
| 50.3 | 16.0 |
| 59.6 | 33.6 |
| 59.7 | 19.1 |
| 62.5 | 12.4 |
| 81.5 | 13.7 |
| 84.1 | 9.1 |

---

Entry 3:
For Nd5SmEr4, a crystal structure in Alexandria, relaxed with PBE gives the simulated X-ray powder pattern in this record (Cu Kα X-rays).
Kinematic intensities with the Lorentz-polarization factor, no thermal factor.

Atomic structure:
a b c (Å): 3.608 9.503 10.207
angles (deg): 73.99 89.94 79.34
Space group P-1 (No. 2)
Inequivalent atoms, fractional coordinates:
1 Nd 0.000 0.000 0.000 [1 per cell]
2 Nd 0.200 0.599 0.101 [2 per cell]
3 Nd 0.398 0.201 0.696 [2 per cell]
4 Sm 0.000 0.000 0.500 [1 per cell]
5 Er 0.200 0.601 0.600 [2 per cell]
6 Er 0.399 0.202 0.203 [2 per cell]

Peak list (10 most intense, 2θ from 15° to 90°, by angle)
| Position (°2θ) | I/Imax |
| --- | --- |
| 30.3 | 100.0 |
| 30.6 | 32.7 |
| 35.2 | 45.0 |
| 35.4 | 22.2 |
| 50.6 | 16.1 |
| 50.9 | 15.8 |
| 60.0 | 9.6 |
| 60.1 | 19.1 |
| 60.4 | 18.9 |
| 63.1 | 12.4 |